Starting from a cell relaxed with PBE+U, the powder XRD pattern of HoCoO3 was simulated for Cu Kα (weighted mean of Kα1 and Kα2).
Neutral-atom scattering factors, no anomalous dispersion.

Cell and atoms:
```
data_HoCoO3
_symmetry_space_group_name_H-M 'P n m a'
_symmetry_Int_Tables_number 62
_cell_length_a 5.553
_cell_length_b 7.450
_cell_length_c 5.158
_cell_angle_alpha 90.00
_cell_angle_beta 90.00
_cell_angle_gamma 90.00
loop_
_symmetry_equiv_pos_as_xyz
'x,y,z'
'-x,-y,-z'
'-x+1/2,-y,z+1/2'
'x+1/2,y,-z+1/2'
'x+1/2,-y+1/2,-z+1/2'
'-x+1/2,y+1/2,z+1/2'
'-x,y+1/2,-z'
'x,-y+1/2,z'
loop_
_atom_site_label
_atom_site_type_symbol
_atom_site_fract_x
_atom_site_fract_y
_atom_site_fract_z
Ho1 Ho 0.080 0.250 0.022
Co1 Co 0.000 0.000 0.500
O1 O 0.027 0.750 0.395
O2 O 0.189 0.553 0.804
```

Principal peaks in the range 10 to 80 degrees two-theta, in order of rising 2θ:
3.779 Å, 23.54 deg, I = 17, (1 0 1)
3.370 Å, 26.45 deg, I = 31, (1 1 1)
2.653 Å, 33.79 deg, I = 100, (1 2 1)
2.601 Å, 34.48 deg, I = 21, (2 1 0)
2.579 Å, 34.79 deg, I = 26, (0 0 2)
1.831 Å, 49.79 deg, I = 18, (2 1 2)
1.696 Å, 54.06 deg, I = 21, (3 1 1)
1.503 Å, 61.72 deg, I = 28, (1 2 3)